Starting from a structure optimized by DFT (PBE), the X-ray powder pattern of HoTaN2O was computed for a wavelength of 1.5418 Å.
Peak positions follow from Bragg's law for the DFT cell and can differ from measured ones.

Crystal structure
```
HoTaN2O
1.0
5.576 0.000 0.000
-2.785 4.851 0.000
-2.746 -1.594 9.131
Ho Ta N O
4 4 8 4
direct
0.000 0.000 0.000
0.000 0.496 0.489
0.494 0.189 0.743
0.503 0.698 0.249
0.244 0.083 0.361
0.264 0.591 0.875
0.738 0.329 0.122
0.738 0.849 0.630
0.076 0.278 0.218
0.436 0.453 0.031
0.445 0.942 0.523
0.501 0.608 0.743
0.505 0.116 0.245
0.555 0.012 0.957
0.938 0.704 0.272
0.940 0.188 0.778
0.027 0.109 0.502
0.068 0.752 0.699
0.590 0.520 0.461
0.985 0.595 0.980
```

Most intense lines, 10 to 80 degrees two-theta, sorted by position:
| two_theta | Rel. int. |
| --- | --- |
| 32.0 | 100 |
| 32.1 | 51 |
| 45.8 | 11 |
| 45.9 | 11 |
| 46.1 | 11 |
| 57.0 | 25 |
| 57.1 | 21 |
| 57.2 | 11 |
| 66.8 | 7 |
| 76.1 | 6 |

=====

Starting from a structure optimized by DFT (PBE), the X-ray powder pattern of Gd3In4Pb3 was computed for a wavelength of 1.5418 Å.
Peak positions follow from Bragg's law for the DFT cell and can differ from measured ones.

Crystal structure
```
Gd3In4Pb3
1.0
2.314 -12.647 0.000
2.314 12.647 0.000
0.000 0.000 4.639
Gd In Pb
3 4 3
direct
0.000 0.000 0.000
0.187 0.813 0.000
0.813 0.187 0.000
0.097 0.903 0.500
0.404 0.596 0.000
0.596 0.404 0.000
0.903 0.097 0.500
0.297 0.703 0.500
0.500 0.500 0.500
0.703 0.297 0.500
```

Most intense lines, 10 to 80 degrees two-theta, sorted by position:
| two_theta | Rel. int. |
| --- | --- |
| 32.6 | 100 |
| 35.5 | 18 |
| 38.8 | 16 |
| 38.9 | 16 |
| 53.6 | 22 |
| 56.1 | 11 |
| 61.9 | 12 |
| 66.4 | 13 |
| 66.5 | 13 |
| 68.2 | 11 |

=====

Starting from a structure optimized by DFT (PBE), the X-ray powder pattern of BaHgGe2Pd was computed for a wavelength of 1.5418 Å.
Peak positions follow from Bragg's law for the DFT cell and can differ from measured ones.

Crystal structure
```
BaHgGe2Pd
1.0
4.655 0.000 0.000
0.000 4.655 0.000
0.000 0.000 10.895
Ba Hg Ge Pd
2 2 4 2
direct
0.250 0.250 0.243
0.750 0.750 0.757
0.250 0.750 0.500
0.750 0.250 0.500
0.250 0.250 0.659
0.250 0.750 0.000
0.750 0.250 0.000
0.750 0.750 0.341
0.250 0.250 0.891
0.750 0.750 0.109
```

Most intense lines, 10 to 80 degrees two-theta, sorted by position:
| two_theta | Rel. int. |
| --- | --- |
| 16.3 | 12 |
| 28.3 | 23 |
| 31.2 | 34 |
| 31.8 | 100 |
| 38.7 | 59 |
| 43.1 | 22 |
| 50.5 | 17 |
| 55.9 | 20 |
| 58.0 | 21 |
| 65.7 | 25 |

=====

Starting from a structure optimized by DFT (PBE), the X-ray powder pattern of RbAg3Te4Os was computed for a wavelength of 1.5418 Å.
Peak positions follow from Bragg's law for the DFT cell and can differ from measured ones.

Crystal structure
```
RbAg3Te4Os
1.0
6.882 0.000 0.000
0.000 6.882 0.000
0.000 0.000 6.882
Rb Ag Te Os
1 3 4 1
direct
0.000 0.000 0.000
0.000 0.500 0.500
0.500 0.000 0.500
0.500 0.500 0.000
0.286 0.286 0.286
0.286 0.714 0.714
0.714 0.286 0.714
0.714 0.714 0.286
0.500 0.500 0.500
```

Most intense lines, 10 to 80 degrees two-theta, sorted by position:
| two_theta | Rel. int. |
| --- | --- |
| 12.9 | 65 |
| 18.2 | 19 |
| 22.4 | 64 |
| 31.9 | 18 |
| 36.9 | 100 |
| 39.3 | 17 |
| 43.6 | 24 |
| 47.6 | 23 |
| 53.2 | 14 |
| 66.6 | 25 |

=====

Starting from a structure optimized by DFT (PBE), the X-ray powder pattern of RbTlHg4 was computed for a wavelength of 1.5418 Å.
Peak positions follow from Bragg's law for the DFT cell and can differ from measured ones.

Crystal structure
```
RbTlHg4
1.0
-2.616 4.029 4.592
2.616 -4.029 4.592
2.616 4.029 -4.592
Rb Tl Hg
1 1 4
direct
0.000 0.000 0.000
0.397 0.897 0.500
0.413 0.607 0.806
0.585 0.283 0.302
0.800 0.607 0.194
0.981 0.283 0.698
```

Most intense lines, 10 to 80 degrees two-theta, sorted by position:
| two_theta | Rel. int. |
| --- | --- |
| 28.1 | 56 |
| 29.5 | 36 |
| 29.6 | 100 |
| 33.9 | 92 |
| 34.3 | 56 |
| 34.8 | 42 |
| 40.8 | 25 |
| 49.6 | 31 |
| 55.5 | 33 |
| 63.7 | 25 |

=====

Starting from a structure optimized by DFT (PBE), the X-ray powder pattern of PmZr5 was computed for a wavelength of 1.5418 Å.
Peak positions follow from Bragg's law for the DFT cell and can differ from measured ones.

Crystal structure
```
PmZr5
1.0
5.704 0.000 0.000
-2.852 4.940 0.000
0.000 0.000 5.249
Pm Zr
1 5
direct
0.000 0.000 0.000
0.000 0.355 0.500
0.333 0.667 0.000
0.355 0.000 0.500
0.645 0.645 0.500
0.667 0.333 0.000
```

Most intense lines, 10 to 80 degrees two-theta, sorted by position:
| two_theta | Rel. int. |
| --- | --- |
| 24.7 | 5 |
| 31.4 | 25 |
| 34.2 | 26 |
| 35.8 | 100 |
| 47.1 | 16 |
| 55.8 | 18 |
| 62.2 | 19 |
| 67.1 | 20 |
| 68.1 | 14 |
| 75.9 | 4 |

=====

Starting from a structure optimized by DFT (PBE), the X-ray powder pattern of Na3Tb2HoPb3 was computed for a wavelength of 1.5418 Å.
Peak positions follow from Bragg's law for the DFT cell and can differ from measured ones.

Crystal structure
```
Na3Tb2HoPb3
1.0
5.210 0.000 0.000
-2.605 4.512 0.000
0.000 0.000 10.486
Na Tb Ho Pb
3 2 1 3
direct
0.000 0.000 0.000
0.333 0.667 0.318
0.333 0.667 0.682
0.667 0.333 0.167
0.667 0.333 0.833
0.667 0.333 0.500
0.000 0.000 0.341
0.000 0.000 0.659
0.333 0.667 0.000
```

Most intense lines, 10 to 80 degrees two-theta, sorted by position:
| two_theta | Rel. int. |
| --- | --- |
| 19.7 | 11 |
| 21.4 | 43 |
| 26.1 | 18 |
| 32.4 | 100 |
| 34.4 | 84 |
| 39.8 | 13 |
| 48.0 | 34 |
| 60.4 | 34 |
| 61.7 | 16 |
| 64.2 | 27 |

=====

Starting from a structure optimized by DFT (PBE), the X-ray powder pattern of Cu7Ag3 was computed for a wavelength of 1.5418 Å.
Peak positions follow from Bragg's law for the DFT cell and can differ from measured ones.

Crystal structure
```
Cu7Ag3
1.0
2.723 0.000 0.000
0.000 3.632 0.000
0.000 0.000 13.850
Cu Ag
7 3
direct
0.000 0.000 0.000
0.000 0.000 0.180
0.000 0.000 0.360
0.000 0.000 0.786
0.500 0.500 0.090
0.500 0.500 0.271
0.500 0.500 0.699
0.000 0.000 0.592
0.500 0.500 0.466
0.500 0.500 0.893
```

Most intense lines, 10 to 80 degrees two-theta, sorted by position:
| two_theta | Rel. int. |
| --- | --- |
| 27.7 | 8 |
| 35.8 | 10 |
| 41.0 | 87 |
| 41.5 | 100 |
| 42.2 | 6 |
| 46.8 | 58 |
| 50.2 | 28 |
| 67.7 | 8 |
| 69.0 | 10 |
| 71.1 | 31 |

=====

Starting from a structure optimized by DFT (PBE), the X-ray powder pattern of Ho5Ir3 was computed for a wavelength of 1.5418 Å.
Peak positions follow from Bragg's law for the DFT cell and can differ from measured ones.

Crystal structure
```
Ho5Ir3
1.0
10.818 0.000 0.000
0.000 10.818 0.000
0.000 0.000 6.320
Ho Ir
20 12
direct
0.041 0.162 0.123
0.041 0.338 0.623
0.162 0.041 0.623
0.162 0.459 0.123
0.250 0.750 0.000
0.250 0.750 0.500
0.338 0.041 0.123
0.338 0.459 0.623
0.459 0.162 0.623
0.459 0.338 0.123
0.541 0.662 0.877
0.541 0.838 0.377
0.662 0.541 0.377
0.662 0.959 0.877
0.750 0.250 0.000
0.750 0.250 0.500
0.838 0.541 0.877
0.838 0.959 0.377
0.959 0.662 0.377
0.959 0.838 0.877
0.096 0.596 0.750
0.096 0.904 0.250
0.250 0.250 0.377
0.250 0.250 0.877
0.404 0.596 0.250
0.404 0.904 0.750
0.596 0.096 0.250
0.596 0.404 0.750
0.750 0.750 0.123
0.750 0.750 0.623
0.904 0.096 0.750
0.904 0.404 0.250
```

Most intense lines, 10 to 80 degrees two-theta, sorted by position:
| two_theta | Rel. int. |
| --- | --- |
| 23.2 | 16 |
| 29.7 | 37 |
| 33.0 | 34 |
| 33.9 | 41 |
| 37.1 | 100 |
| 37.9 | 20 |
| 38.8 | 26 |
| 47.0 | 20 |
| 47.5 | 18 |
| 74.9 | 16 |

=====

Starting from a structure optimized by DFT (PBE), the X-ray powder pattern of SrLuBi was computed for a wavelength of 1.5418 Å.
Peak positions follow from Bragg's law for the DFT cell and can differ from measured ones.

Crystal structure
```
SrLuBi
1.0
0.000 3.782 3.782
3.782 0.000 3.782
3.782 3.782 0.000
Sr Lu Bi
1 1 1
direct
0.000 0.000 0.000
0.500 0.500 0.500
0.750 0.750 0.750
```

Most intense lines, 10 to 80 degrees two-theta, sorted by position:
| two_theta | Rel. int. |
| --- | --- |
| 20.3 | 51 |
| 23.5 | 2 |
| 33.5 | 100 |
| 39.5 | 29 |
| 48.1 | 18 |
| 52.8 | 13 |
| 59.9 | 38 |
| 64.0 | 10 |
| 70.4 | 12 |
| 74.2 | 10 |

=====

Starting from a structure optimized by DFT (PBE), the X-ray powder pattern of Tm5Bi3 was computed for a wavelength of 1.5418 Å.
Peak positions follow from Bragg's law for the DFT cell and can differ from measured ones.

Crystal structure
```
Tm5Bi3
1.0
9.046 0.000 0.000
-4.523 7.834 0.000
0.000 0.000 6.282
Tm Bi
10 6
direct
0.000 0.242 0.250
0.000 0.758 0.750
0.242 0.000 0.250
0.242 0.242 0.750
0.333 0.667 0.000
0.333 0.667 0.500
0.667 0.333 0.000
0.667 0.333 0.500
0.758 0.000 0.750
0.758 0.758 0.250
0.000 0.390 0.750
0.000 0.610 0.250
0.390 0.000 0.750
0.390 0.390 0.250
0.610 0.000 0.250
0.610 0.610 0.750
```

Most intense lines, 10 to 80 degrees two-theta, sorted by position:
| two_theta | Rel. int. |
| --- | --- |
| 28.4 | 22 |
| 30.2 | 25 |
| 33.5 | 100 |
| 34.3 | 47 |
| 34.8 | 73 |
| 44.1 | 16 |
| 49.7 | 18 |
| 53.6 | 32 |
| 66.7 | 20 |
| 69.9 | 12 |

=====

Starting from a structure optimized by DFT (PBE), the X-ray powder pattern of NaFeCl4 was computed for a wavelength of 1.5418 Å.
Peak positions follow from Bragg's law for the DFT cell and can differ from measured ones.

Crystal structure
```
NaFeCl4
1.0
6.227 0.000 0.000
0.000 9.832 0.000
0.000 0.000 10.236
Na Fe Cl
4 4 16
direct
0.057 0.037 0.133
0.443 0.963 0.633
0.557 0.463 0.867
0.943 0.537 0.367
0.038 0.739 0.788
0.462 0.261 0.288
0.538 0.761 0.212
0.962 0.239 0.712
0.140 0.561 0.902
0.176 0.732 0.590
0.177 0.924 0.879
0.183 0.757 0.216
0.317 0.243 0.716
0.323 0.076 0.379
0.324 0.268 0.090
0.360 0.439 0.402
0.640 0.939 0.098
0.676 0.768 0.410
0.677 0.576 0.121
0.683 0.743 0.784
0.817 0.257 0.284
0.823 0.424 0.621
0.824 0.232 0.910
0.860 0.061 0.598
```

Most intense lines, 10 to 80 degrees two-theta, sorted by position:
| two_theta | Rel. int. |
| --- | --- |
| 16.7 | 100 |
| 17.3 | 46 |
| 18.0 | 47 |
| 24.7 | 53 |
| 25.1 | 65 |
| 27.7 | 37 |
| 29.0 | 65 |
| 30.1 | 75 |
| 31.2 | 63 |
| 48.4 | 37 |